Starting from a GGA-PBE-relaxed structure, the X-ray diffraction stick pattern of PmSmY2Ho was simulated for CuKα.
Peak positions follow from Bragg's law for the DFT cell and can differ from measured ones.

Peak list (12 most intense, 2θ = 15–90°, by angle)
- 2θ 21.00, I 39.0, hkl 2 0 0
- 2θ 24.75, I 18.4, hkl 0 0 2
- 2θ 25.48, I 19.8, hkl 1 3 0
- 2θ 26.14, I 33.8, hkl 2 2 0
- 2θ 28.05, I 20.9, hkl 1 1 2
- 2θ 29.28, I 35.7, hkl 0 2 2
- 2θ 31.07, I 47.3, hkl 0 4 0
- 2θ 32.68, I 100.0, hkl 2 0 2
- 2θ 35.82, I 45.4, hkl 1 3 2
- 2θ 39.66, I 28.1, hkl 3 3 0
- 2θ 45.71, I 55.9, hkl 2 4 2
- 2θ 65.68, I 23.1, hkl 3 7 0

Cell and atoms:
Unit cell a=8.460 b=11.515 c=7.194 alpha=90.00 beta=90.00 gamma=90.00
Space group Cmcm (No. 63)
One atom of each set of equivalent atoms:
1 Pm 0.000 0.004 0.250 (multiplicity 4)
2 Sm 0.000 0.272 0.250 (multiplicity 4)
3 Y 0.188 0.500 0.000 (multiplicity 8)
4 Ho 0.000 0.274 0.750 (multiplicity 4)